# 1
Computed XRD peak list
Compound: RbMnICl6
Radiation: copper Kα
Structure: the PBE geometry in Alexandria
Intensities are scaled so that the largest is 100.

Structural model:
a b c (Å): 6.862 6.969 7.673
angles (deg): 109.94 109.12 102.14
Sites, in units of the cell vectors:
Rb 0.000 0.000 0.000
Mn 0.457 0.185 0.669
I 0.460 0.683 0.170
Cl 0.132 0.918 0.431
Cl 0.251 0.375 0.803
Cl 0.442 0.354 0.463
Cl 0.471 0.017 0.879
Cl 0.665 0.998 0.535
Cl 0.787 0.447 0.911

Peak list (10 most intense, 2θ from 5° to 70°, by intensity)
| 2theta | Rel. int. |
| --- | --- |
| 14.86 | 100 |
| 28.06 | 82 |
| 29.98 | 77 |
| 14.66 | 75 |
| 21.44 | 65 |
| 20.46 | 61 |
| 33.77 | 48 |
| 37.53 | 47 |
| 24.03 | 43 |
| 43.79 | 37 |

***

# 2
Computed XRD peak list
Compound: Pr3Y3Er2
Radiation: copper Kα
Structure: the PBE geometry in Alexandria
Intensities are scaled so that the largest is 100.

Structural model:
a b c (Å): 16.524 5.737 6.035
angles (deg): 90.00 109.67 90.00
Sites, in units of the cell vectors:
Pr 0.000 0.000 0.000
Pr 0.136 0.000 0.698
Pr 0.364 0.500 0.302
Pr 0.500 0.500 0.000
Pr 0.636 0.500 0.698
Pr 0.864 0.000 0.302
Y 0.000 0.500 0.500
Y 0.134 0.500 0.084
Y 0.366 0.000 0.916
Y 0.500 0.000 0.500
Y 0.634 0.000 0.084
Y 0.866 0.500 0.916
Er 0.250 0.000 0.318
Er 0.250 0.500 0.682
Er 0.750 0.000 0.682
Er 0.750 0.500 0.318

Peak list (10 most intense, 2θ from 5° to 70°, by intensity)
| 2theta | Rel. int. |
| --- | --- |
| 31.16 | 100 |
| 31.83 | 63 |
| 29.62 | 26 |
| 43.54 | 18 |
| 34.23 | 18 |
| 57.20 | 16 |
| 55.46 | 15 |
| 55.89 | 13 |
| 65.01 | 12 |
| 46.70 | 11 |

***

# 3
Computed XRD peak list
Compound: ZrTi4Si2
Radiation: copper Kα
Structure: the PBE geometry in Alexandria
Intensities are scaled so that the largest is 100.

Structural model:
a b c (Å): 3.696 3.696 18.645
angles (deg): 90.00 90.00 90.00
Sites, in units of the cell vectors:
Zr 0.000 0.000 0.000
Zr 0.500 0.500 0.500
Ti 0.000 0.000 0.133
Ti 0.000 0.000 0.867
Ti 0.000 0.500 0.250
Ti 0.000 0.500 0.750
Ti 0.500 0.000 0.250
Ti 0.500 0.000 0.750
Ti 0.500 0.500 0.367
Ti 0.500 0.500 0.633
Si 0.000 0.000 0.364
Si 0.000 0.000 0.636
Si 0.500 0.500 0.136
Si 0.500 0.500 0.864

Peak list (10 most intense, 2θ from 5° to 70°, by intensity)
| 2theta | Rel. int. |
| --- | --- |
| 24.56 | 100 |
| 35.68 | 76 |
| 45.34 | 72 |
| 49.31 | 56 |
| 38.63 | 54 |
| 64.34 | 43 |
| 39.53 | 42 |
| 34.31 | 33 |
| 41.80 | 25 |
| 28.09 | 21 |

***

# 4
Computed XRD peak list
Compound: CdAgSn2Se4
Radiation: copper Kα
Structure: the PBE geometry in Alexandria
Intensities are scaled so that the largest is 100.

Structural model:
a b c (Å): 7.124 5.825 7.134
angles (deg): 65.79 48.23 65.98
Sites, in units of the cell vectors:
Cd 0.000 0.000 0.000
Ag 0.500 0.500 0.500
Sn 0.249 0.249 0.251
Sn 0.749 0.749 0.751
Se 0.000 0.500 0.000
Se 0.243 0.755 0.245
Se 0.500 0.000 0.500
Se 0.755 0.243 0.757

Peak list (9 most intense, 2θ from 5° to 70°, by intensity)
| 2theta | Rel. int. |
| --- | --- |
| 30.71 | 100 |
| 44.01 | 61 |
| 54.51 | 13 |
| 54.68 | 13 |
| 43.86 | 12 |
| 63.95 | 12 |
| 26.51 | 7 |
| 52.04 | 2 |
| 52.14 | 2 |

***

# 5
Computed XRD peak list
Compound: YPaBi2O8
Radiation: copper Kα
Structure: the PBE geometry in Alexandria
Intensities are scaled so that the largest is 100.

Structural model:
a b c (Å): 6.342 6.342 6.342
angles (deg): 109.86 109.86 108.69
Sites, in units of the cell vectors:
Y 0.000 0.000 0.000
Pa 0.750 0.250 0.500
Bi 0.250 0.750 0.500
Bi 0.500 0.500 0.000
O 0.041 0.354 0.314
O 0.041 0.727 0.686
O 0.075 0.277 0.798
O 0.273 0.959 0.314
O 0.480 0.277 0.202
O 0.646 0.959 0.686
O 0.723 0.520 0.798
O 0.723 0.925 0.202

Peak list (10 most intense, 2θ from 5° to 70°, by intensity)
| 2theta | Rel. int. |
| --- | --- |
| 29.74 | 100 |
| 24.43 | 96 |
| 46.43 | 73 |
| 34.82 | 28 |
| 59.32 | 21 |
| 55.76 | 20 |
| 56.46 | 18 |
| 50.06 | 16 |
| 61.76 | 13 |
| 29.96 | 9 |

***

# 6
Computed XRD peak list
Compound: Er4AuS3
Radiation: copper Kα
Structure: the PBE geometry in Alexandria
Intensities are scaled so that the largest is 100.

Structural model:
a b c (Å): 8.072 11.213 3.849
angles (deg): 90.00 90.00 90.00
Sites, in units of the cell vectors:
Er 0.000 0.246 0.000
Er 0.000 0.754 0.000
Er 0.243 0.000 0.500
Er 0.257 0.500 0.500
Er 0.500 0.254 0.000
Er 0.500 0.746 0.000
Er 0.743 0.500 0.500
Er 0.757 0.000 0.500
Au 0.000 0.500 0.000
Au 0.500 0.000 0.000
S 0.000 0.000 0.000
S 0.250 0.250 0.500
S 0.250 0.750 0.500
S 0.500 0.500 0.000
S 0.750 0.250 0.500
S 0.750 0.750 0.500

Peak list (10 most intense, 2θ from 5° to 70°, by intensity)
| 2theta | Rel. int. |
| --- | --- |
| 32.14 | 100 |
| 45.93 | 74 |
| 31.92 | 51 |
| 27.23 | 21 |
| 56.16 | 20 |
| 28.12 | 20 |
| 44.92 | 20 |
| 58.15 | 18 |
| 47.23 | 17 |
| 13.52 | 15 |

***

# 7
Computed XRD peak list
Compound: BaMgPt
Radiation: copper Kα
Structure: the PBE geometry in Alexandria
Intensities are scaled so that the largest is 100.

Structural model:
a b c (Å): 4.295 4.707 11.099
angles (deg): 101.62 90.30 116.86
Sites, in units of the cell vectors:
Ba 0.207 0.416 0.197
Ba 0.793 0.584 0.803
Mg 0.370 0.740 0.560
Mg 0.630 0.260 0.440
Pt 0.080 0.161 0.621
Pt 0.920 0.839 0.379

Peak list (10 most intense, 2θ from 5° to 70°, by intensity)
| 2theta | Rel. int. |
| --- | --- |
| 8.18 | 100 |
| 24.11 | 50 |
| 23.40 | 46 |
| 30.14 | 34 |
| 36.13 | 27 |
| 25.65 | 22 |
| 36.83 | 19 |
| 21.41 | 18 |
| 42.08 | 18 |
| 38.30 | 15 |

***

# 8
Computed XRD peak list
Compound: InCu12Au6
Radiation: copper Kα
Structure: the PBE geometry in Alexandria
Intensities are scaled so that the largest is 100.

Structural model:
a b c (Å): 7.112 7.112 7.112
angles (deg): 106.13 106.13 106.13
Sites, in units of the cell vectors:
In 0.000 0.000 0.000
Cu 0.108 0.500 0.892
Cu 0.108 0.892 0.500
Cu 0.109 0.342 0.342
Cu 0.342 0.109 0.342
Cu 0.342 0.342 0.109
Cu 0.500 0.108 0.892
Cu 0.500 0.892 0.108
Cu 0.658 0.658 0.891
Cu 0.658 0.891 0.658
Cu 0.891 0.658 0.658
Cu 0.892 0.108 0.500
Cu 0.892 0.500 0.108
Au 0.296 0.698 0.698
Au 0.302 0.302 0.704
Au 0.302 0.704 0.302
Au 0.698 0.296 0.698
Au 0.698 0.698 0.296
Au 0.704 0.302 0.302

Peak list (10 most intense, 2θ from 5° to 70°, by intensity)
| 2theta | Rel. int. |
| --- | --- |
| 41.46 | 100 |
| 26.29 | 73 |
| 43.03 | 71 |
| 45.85 | 69 |
| 48.01 | 62 |
| 28.30 | 55 |
| 68.70 | 32 |
| 31.47 | 27 |
| 47.48 | 26 |
| 14.04 | 24 |

***

# 9
Computed XRD peak list
Compound: KTl2Tc2O7
Radiation: copper Kα
Structure: the PBE geometry in Alexandria
Intensities are scaled so that the largest is 100.

Structural model:
a b c (Å): 8.811 8.811 8.811
angles (deg): 40.92 40.92 40.92
Sites, in units of the cell vectors:
K 0.000 0.000 0.000
Tl 0.205 0.205 0.205
Tl 0.795 0.795 0.795
Tc 0.423 0.423 0.423
Tc 0.577 0.577 0.577
O 0.112 0.427 0.672
O 0.328 0.573 0.888
O 0.427 0.672 0.112
O 0.500 0.500 0.500
O 0.573 0.888 0.328
O 0.672 0.112 0.427
O 0.888 0.328 0.573

Peak list (10 most intense, 2θ from 5° to 70°, by intensity)
| 2theta | Rel. int. |
| --- | --- |
| 24.85 | 100 |
| 28.99 | 74 |
| 10.98 | 44 |
| 31.08 | 32 |
| 48.94 | 28 |
| 38.54 | 26 |
| 51.38 | 20 |
| 40.97 | 18 |
| 34.09 | 15 |
| 44.76 | 14 |

***

# 10
Computed XRD peak list
Compound: Ce2CuHg3
Radiation: copper Kα
Structure: the PBE geometry in Alexandria
Intensities are scaled so that the largest is 100.

Structural model:
a b c (Å): 3.381 4.922 8.561
angles (deg): 90.00 90.00 90.00
Sites, in units of the cell vectors:
Ce 0.000 0.000 0.000
Ce 0.000 0.500 0.479
Cu 0.500 0.000 0.317
Hg 0.500 0.000 0.638
Hg 0.500 0.500 0.166
Hg 0.500 0.500 0.822

Peak list (10 most intense, 2θ from 5° to 70°, by intensity)
| 2theta | Rel. int. |
| --- | --- |
| 33.81 | 100 |
| 36.39 | 61 |
| 36.51 | 32 |
| 67.10 | 21 |
| 50.59 | 21 |
| 63.84 | 19 |
| 26.36 | 12 |
| 45.49 | 11 |
| 64.01 | 11 |
| 65.64 | 11 |

***

# 11
Computed XRD peak list
Compound: LaIn6Pd3
Radiation: copper Kα
Structure: the PBE geometry in Alexandria
Intensities are scaled so that the largest is 100.

Structural model:
a b c (Å): 9.319 4.652 10.458
angles (deg): 90.00 98.69 90.00
Sites, in units of the cell vectors:
La 0.077 0.250 0.257
La 0.923 0.750 0.743
In 0.100 0.250 0.608
In 0.151 0.750 0.036
In 0.292 0.750 0.763
In 0.353 0.750 0.298
In 0.381 0.250 0.490
In 0.446 0.250 0.905
In 0.554 0.750 0.095
In 0.619 0.750 0.510
In 0.647 0.250 0.702
In 0.708 0.250 0.237
In 0.849 0.250 0.964
In 0.900 0.750 0.392
Pd 0.144 0.250 0.887
Pd 0.189 0.750 0.498
Pd 0.393 0.250 0.155
Pd 0.607 0.750 0.845
Pd 0.811 0.250 0.502
Pd 0.856 0.750 0.113

Peak list (10 most intense, 2θ from 5° to 70°, by intensity)
| 2theta | Rel. int. |
| --- | --- |
| 35.00 | 100 |
| 38.72 | 80 |
| 32.33 | 52 |
| 30.72 | 50 |
| 33.96 | 48 |
| 39.81 | 39 |
| 41.17 | 33 |
| 31.60 | 26 |
| 36.17 | 24 |
| 39.93 | 21 |

***

# 12
Computed XRD peak list
Compound: Np3CuNi8
Radiation: copper Kα
Structure: the PBE geometry in Alexandria
Intensities are scaled so that the largest is 100.

Structural model:
a b c (Å): 8.520 8.520 8.520
angles (deg): 33.55 33.55 33.55
Sites, in units of the cell vectors:
Np 0.000 0.000 0.000
Np 0.125 0.125 0.125
Np 0.505 0.505 0.505
Cu 0.628 0.628 0.628
Ni 0.060 0.564 0.564
Ni 0.066 0.066 0.567
Ni 0.066 0.567 0.066
Ni 0.314 0.314 0.314
Ni 0.564 0.060 0.564
Ni 0.564 0.564 0.060
Ni 0.567 0.066 0.066
Ni 0.815 0.815 0.815

Peak list (10 most intense, 2θ from 5° to 70°, by intensity)
| 2theta | Rel. int. |
| --- | --- |
| 43.13 | 100 |
| 36.54 | 71 |
| 65.77 | 26 |
| 22.14 | 25 |
| 45.16 | 13 |
| 57.78 | 7 |
| 21.18 | 6 |
| 11.01 | 6 |
| 27.96 | 5 |
| 25.61 | 4 |